This entry pairs a crystal structure of Er3AlHg2 with its calculated X-ray diffraction stick pattern. Radiation: a wavelength of 1.5418 Å. Structure: a cell relaxed with GGA-PBE.
Intensities are scaled so that the largest is 1000.

Atomic structure:
Cell lengths 5.144, 15.505, 3.677 Å; angles 90.00, 90.00, 90.00 degrees
Space group Cmmm (No. 65)
Unique sites:
Er: 0.000 0.000 0.000 x2
Er: 0.000 0.336 0.000 x4
Al: 0.000 0.500 0.500 x2
Hg: 0.000 0.163 0.500 x4

Main lines, in order of rising 2θ (2θ = 15–90°):
- 34.7°, d = 2.588 Å, rel. 1000, (1 3 1)
- 34.9°, d = 2.572 Å, rel. 197, (2 0 0)
- 49.6°, d = 1.838 Å, rel. 74, (0 0 2)
- 50.0°, d = 1.823 Å, rel. 142, (2 6 0)
- 61.9°, d = 1.498 Å, rel. 75, (0 6 2)
- 62.1°, d = 1.496 Å, rel. 76, (2 0 2)
- 62.2°, d = 1.493 Å, rel. 147, (1 9 1)
- 62.4°, d = 1.488 Å, rel. 149, (3 3 1)
- 73.1°, d = 1.294 Å, rel. 93, (2 6 2)
- 83.8°, d = 1.154 Å, rel. 97, (3 9 1)